The following is a calculated powder XRD pattern of Cs3Y3HfS8. It was derived from DFT lattice parameters and positions (GGA-PBE), using Cu Kα.

Peak list (8 most intense, 5 to 70 degrees two-theta, in order of rising 2θ)
| 2theta | intensity |
| --- | --- |
| 13.30 | 31 |
| 21.62 | 29 |
| 26.79 | 39 |
| 29.63 | 100 |
| 39.15 | 35 |
| 45.16 | 19 |
| 45.46 | 32 |
| 50.87 | 19 |

Cell and atoms:
```
Cs3Y3HfS8
1.0
3.9906 2.3040 8.2226
-3.9906 2.3040 8.2226
0.0000 -4.6079 8.2226
Cs Y Hf S
3 3 1 8
direct
0.0000 0.5000 0.5000
0.5000 0.0000 0.5000
0.5000 0.5000 0.0000
0.0000 0.0000 0.5000
0.0000 0.5000 0.0000
0.5000 0.0000 0.0000
0.5000 0.5000 0.5000
0.2270 0.2270 0.2270
0.2445 0.7149 0.7149
0.2851 0.2851 0.7555
0.2851 0.7555 0.2851
0.7149 0.2445 0.7149
0.7149 0.7149 0.2445
0.7555 0.2851 0.2851
0.7730 0.7730 0.7730
```